Record 1
Computed powder diffraction line list
Compound: NpHgPdAu
Radiation: Cu Ka
Structure: a crystal structure in Alexandria, relaxed with GGA-PBE

Principal peaks in the range 2θ from 15° to 90°, low angle first:
two_theta  I/Imax
22.0  6.1
36.4  100.0
52.4  17.9
65.4  36.9
77.2  11.6
88.5  17.3

Structure:
```
NpHgPdAu
1.0
0.000 3.494 3.494
3.494 0.000 3.494
3.494 3.494 0.000
Np Hg Pd Au
1 1 1 1
Direct
0.000 0.000 0.000 Np
0.250 0.250 0.250 Hg
0.500 0.500 0.500 Pd
0.750 0.750 0.750 Au
```



Record 2
Computed powder diffraction line list
Compound: Hg2Au2O5
Radiation: Cu Ka
Structure: a crystal structure in Alexandria, relaxed with GGA-PBE

Principal peaks in the range 2θ from 15° to 90°, low angle first:
two_theta  I/Imax
26.9  78.3
27.0  48.6
27.1  100.0
27.8  62.2
33.4  55.2
33.7  63.0

Structure:
```
Hg2Au2O5
1.0
6.412 -2.004 0.000
6.412 2.004 0.000
-0.107 0.000 6.570
Hg Au O
2 2 5
Direct
0.132 0.132 0.011 Hg
0.868 0.868 0.989 Hg
0.348 0.348 0.490 Au
0.652 0.652 0.510 Au
0.187 0.187 0.473 O
0.343 0.343 0.046 O
0.500 0.500 0.500 O
0.657 0.657 0.954 O
0.813 0.813 0.527 O
```



Record 3
Computed powder diffraction line list
Compound: HgOsAu
Radiation: Cu Ka
Structure: a crystal structure in Alexandria, relaxed with GGA-PBE

Principal peaks in the range 2θ from 15° to 90°, low angle first:
two_theta  I/Imax
35.7  35.4
35.9  35.6
40.8  100.0
51.5  25.3
67.6  22.2
67.8  22.8

Structure:
```
HgOsAu
1.0
0.000 2.505 7.546
1.416 0.000 7.546
1.416 2.505 0.000
Hg Os Au
1 1 1
Direct
0.000 0.000 0.000 Hg
0.334 0.334 0.666 Os
0.675 0.675 0.325 Au
```